The following is a computed PXRD pattern of Pm6Dy12Mg. It was derived from a structure optimized by DFT (PBE), using Cu Kα.

Structure:
```
data_Pm6Dy12Mg
_chemical_formula_sum 'Pm18 Dy36 Mg3'
_cell_length_a 11.9328
_cell_length_b 11.9328
_cell_length_c 15.0613
_cell_angle_alpha 90.00
_cell_angle_beta 90.00
_cell_angle_gamma 120.00
_space_group_name_H-M_alt 'R -3'
_space_group_IT_number 148
_space_group_name_Hall '-R 3'
loop_
_atom_site_label
_atom_site_fract_x
_atom_site_fract_y
_atom_site_fract_z
Pm1 0.0142 0.5911 0.1848
Dy1 0.0004 0.1734 0.6880
Dy2 0.0460 0.1941 0.9158
Mg1 0.0000 0.0000 0.5000
```

Peak list (10 most intense, 10° ≤ 2θ ≤ 90°, low angle first)
Position (°2θ)  Rel. int.  (hkl)
23.15  15  2 -1 3
23.53  14  3 -1 1
30.92  39  0 1 5
31.50  25  0 3 3
31.78  100  4 -3 1
33.04  72  2 1 4
33.45  24  3 1 2
34.99  15  4 -2 3
45.20  15  3 2 4
55.51  17  2 5 0

=====

The following is a computed PXRD pattern of ScAlFe2. It was derived from a structure optimized by DFT (PBE), using Cu Kα.

Structure:
```
data_ScAlFe2
_chemical_formula_sum 'Sc1 Al1 Fe2'
_cell_length_a 3.1012
_cell_length_b 3.1888
_cell_length_c 5.7657
_cell_angle_alpha 90.00
_cell_angle_beta 90.00
_cell_angle_gamma 90.00
_space_group_name_H-M_alt 'P m m m'
_space_group_IT_number 47
loop_
_space_group_symop_operation_xyz
'x,y,z'
'-x,-y,-z'
'-x,-y,z'
'x,y,-z'
'x,-y,-z'
'-x,y,z'
'-x,y,-z'
'x,-y,z'
loop_
_atom_site_label
_atom_site_fract_x
_atom_site_fract_y
_atom_site_fract_z
Sc1 0.0000 0.0000 0.0000
Al1 0.0000 0.0000 0.5000
Fe1 0.5000 0.5000 0.2926
```

Peak list (10 most intense, 10° ≤ 2θ ≤ 90°, low angle first)
Position (°2θ)  Rel. int.  (hkl)
32.08  13  0 1 1
32.79  12  1 0 1
40.58  100  1 1 0
42.26  74  0 1 2
42.83  71  1 0 2
57.83  16  0 2 0
59.63  15  2 0 0
64.04  13  1 1 3
74.59  24  1 2 2
75.78  23  2 1 2